Diffraction record for Sm4AlHg3. The powder diffraction line list is simulated, not measured: it uses a GGA-PBE-relaxed structure and Cu Kα.
Intensities are scaled so that the largest is 100.

Principal peaks in the range 2θ = 5–70°, sorted by position:
5.8 deg, I = 17
11.6 deg, I = 4
26.5 deg, I = 4
29.6 deg, I = 6
33.5 deg, I = 100
33.9 deg, I = 49
47.5 deg, I = 9
48.7 deg, I = 18
59.6 deg, I = 19
60.4 deg, I = 37

Crystal structure
abc: 3.739 3.739 15.311
angles: 90.00 90.00 90.00
Space group P4/mmm (No. 123)
Unique sites:
Sm  0.000  0.000  0.118
Sm  0.000  0.000  0.373
Al  0.500  0.500  0.000
Hg  0.500  0.500  0.245
Hg  0.500  0.500  0.500